No. 1
Starting from a cell relaxed with GGA-PBE, the PXRD pattern of KBe2Cd2P3 was simulated for λ = 1.5418 Å (Cu Kα).
Kinematic intensities with the Lorentz-polarization factor, no thermal factor.

Structural model:
```
data_KBe2Cd2P3
_chemical_formula_sum 'K3 Be6 Cd6 P9'
_cell_length_a 4.2387
_cell_length_b 4.2387
_cell_length_c 32.7493
_cell_angle_alpha 90.00
_cell_angle_beta 90.00
_cell_angle_gamma 120.00
_space_group_name_H-M_alt 'R -3 m'
_space_group_IT_number 166
_space_group_name_Hall '-R 3 2"'
loop_
_atom_site_label
_atom_site_type_symbol
_atom_site_fract_x
_atom_site_fract_y
_atom_site_fract_z
K1 K 0.0000 0.0000 0.0000
Be1 Be 0.0000 0.0000 0.1973
Cd1 Cd 0.0000 0.0000 0.4178
P1 P 0.0000 0.0000 0.2628
P2 P 0.0000 0.0000 0.5000
```

Largest 6 diffraction maxima, by intensity, 10 to 90 degrees two-theta:
- 2θ = 16.2°, intensity 100, hkl 0 0 6
- 2θ = 24.4°, intensity 99, hkl 1 0 1
- 2θ = 31.0°, intensity 84, hkl 1 0 7
- 2θ = 42.7°, intensity 83, hkl 1 1 0
- 2θ = 27.9°, intensity 72, hkl 0 1 5
- 2θ = 54.8°, intensity 58, hkl 1 1 12

---

No. 2
Starting from a cell relaxed with GGA-PBE, the PXRD pattern of Ta2AlGaPt2 was simulated for λ = 1.5418 Å (Cu Kα).
Kinematic intensities with the Lorentz-polarization factor, no thermal factor.

Structural model:
```
data_Ta2AlGaPt2
_chemical_formula_sum 'Ta8 Al4 Ga4 Pt8'
_cell_length_a 10.4957
_cell_length_b 4.2835
_cell_length_c 10.4972
_cell_angle_alpha 90.00
_cell_angle_beta 109.45
_cell_angle_gamma 90.00
_space_group_name_H-M_alt 'P 1 m 1'
_space_group_IT_number 6
_space_group_name_Hall 'P -2y'
loop_
_atom_site_label
_atom_site_type_symbol
_atom_site_fract_x
_atom_site_fract_y
_atom_site_fract_z
Ta1 Ta 0.0000 0.0000 0.0000
Ta2 Ta 0.1240 0.5000 0.3749
Ta3 Ta 0.2499 0.0000 0.7502
Ta4 Ta 0.3749 0.5000 0.1242
Ta5 Ta 0.4989 0.0000 0.5009
Ta6 Ta 0.6240 0.5000 0.8752
Ta7 Ta 0.7494 0.0000 0.2486
Ta8 Ta 0.8752 0.5000 0.6256
Al1 Al 0.2500 0.0000 0.2502
Al2 Al 0.6245 0.5000 0.3753
Al3 Al 0.7496 0.0000 0.7496
Al4 Al 0.9989 0.0000 0.4998
Ga1 Ga 0.1243 0.5000 0.8752
Ga2 Ga 0.3745 0.5000 0.6245
Ga3 Ga 0.4998 0.0000 0.0006
Ga4 Ga 0.8749 0.5000 0.1251
Pt1 Pt 0.1271 0.5000 0.1271
Pt2 Pt 0.2468 0.0000 0.4981
Pt3 Pt 0.3742 0.5000 0.8744
Pt4 Pt 0.4998 0.0000 0.2526
Pt5 Pt 0.6266 0.5000 0.6254
Pt6 Pt 0.7498 0.0000 0.9971
Pt7 Pt 0.8736 0.5000 0.3764
Pt8 Pt 0.9983 0.0000 0.7485
```

Largest 6 diffraction maxima, by intensity, 10 to 90 degrees two-theta:
- 2θ = 42.2°, intensity 100, hkl 4 1 0
- 2θ = 25.5°, intensity 75, hkl 1 1 1
- 2θ = 49.9°, intensity 37, hkl 5 0 1
- 2θ = 77.1°, intensity 34, hkl 4 3 0
- 2θ = 61.2°, intensity 17, hkl 4 0 4
- 2θ = 67.4°, intensity 15, hkl 5 2 1

---

No. 3
Starting from a cell relaxed with GGA-PBE, the PXRD pattern of NpH16N4F8 was simulated for λ = 1.5418 Å (Cu Kα).
Kinematic intensities with the Lorentz-polarization factor, no thermal factor.

Structural model:
```
data_NpH16N4F8
_chemical_formula_sum 'Np4 H64 N16 F32'
_cell_length_a 12.7496
_cell_length_b 6.3826
_cell_length_c 12.5442
_cell_angle_alpha 90.00
_cell_angle_beta 117.70
_cell_angle_gamma 90.00
_space_group_name_H-M_alt 'C 1 2/c 1'
_space_group_IT_number 15
_space_group_name_Hall '-C 2yc'
loop_
_atom_site_label
_atom_site_type_symbol
_atom_site_fract_x
_atom_site_fract_y
_atom_site_fract_z
Np1 Np 0.0000 0.0600 0.2500
H1 H 0.0612 0.3396 0.4917
H2 H 0.1073 0.4809 0.1071
H3 H 0.1167 0.2625 0.6363
H4 H 0.1712 0.1265 0.0189
H5 H 0.2045 0.0420 0.1593
H6 H 0.2050 0.2866 0.8576
H7 H 0.2081 0.3649 0.5877
H8 H 0.2111 0.4603 0.4033
N1 N 0.1232 0.3739 0.5794
N2 N 0.2405 0.0861 0.1031
F1 F 0.0597 0.2788 0.1472
F2 F 0.0633 0.1972 0.8888
F3 F 0.1587 0.2129 0.3963
F4 F 0.1654 0.0845 0.7499
```

Largest 6 diffraction maxima, by intensity, 10 to 90 degrees two-theta:
- 2θ = 16.0°, intensity 100, hkl 0 0 2
- 2θ = 19.9°, intensity 45, hkl 1 1 -2
- 2θ = 16.4°, intensity 31, hkl 2 0 -2
- 2θ = 15.7°, intensity 29, hkl 2 0 0
- 2θ = 25.7°, intensity 26, hkl 3 1 -2
- 2θ = 25.1°, intensity 26, hkl 1 1 2

---

No. 4
Starting from a cell relaxed with GGA-PBE, the PXRD pattern of Ta8B11 was simulated for λ = 1.5418 Å (Cu Kα).
Kinematic intensities with the Lorentz-polarization factor, no thermal factor.

Structural model:
```
data_Ta8B11
_chemical_formula_sum 'Ta16 B22'
_cell_length_a 3.2717
_cell_length_b 6.2613
_cell_length_c 19.4364
_cell_angle_alpha 90.00
_cell_angle_beta 90.00
_cell_angle_gamma 90.00
_space_group_name_H-M_alt 'I m m 2'
_space_group_IT_number 44
_space_group_name_Hall 'I 2 -2'
loop_
_atom_site_label
_atom_site_type_symbol
_atom_site_fract_x
_atom_site_fract_y
_atom_site_fract_z
Ta1 Ta 0.0000 0.0000 0.0000
Ta2 Ta 0.0000 0.0000 0.2702
Ta3 Ta 0.0000 0.2454 0.1347
Ta4 Ta 0.0000 0.2489 0.8639
Ta5 Ta 0.0000 0.5000 0.2698
Ta6 Ta 0.0000 0.5000 0.9974
B1 B 0.0000 0.0000 0.4013
B2 B 0.0000 0.0000 0.5886
B3 B 0.0000 0.0000 0.6803
B4 B 0.0000 0.2498 0.4524
B5 B 0.0000 0.2498 0.5438
B6 B 0.0000 0.2520 0.7307
B7 B 0.0000 0.5000 0.4038
B8 B 0.0000 0.5000 0.6818
```

Largest 6 diffraction maxima, by intensity, 10 to 90 degrees two-theta:
- 2θ = 34.1°, intensity 100, hkl 0 2 4
- 2θ = 42.3°, intensity 87, hkl 1 2 3
- 2θ = 27.6°, intensity 61, hkl 1 0 1
- 2θ = 42.7°, intensity 59, hkl 1 0 7
- 2θ = 67.4°, intensity 33, hkl 2 2 4
- 2θ = 37.0°, intensity 32, hkl 0 0 8

---

No. 5
Starting from a cell relaxed with GGA-PBE, the PXRD pattern of Li4TlSiPt2 was simulated for λ = 1.5418 Å (Cu Kα).
Kinematic intensities with the Lorentz-polarization factor, no thermal factor.

Structural model:
```
data_Li4TlSiPt2
_chemical_formula_sum 'Li4 Tl1 Si1 Pt2'
_cell_length_a 4.2007
_cell_length_b 4.2007
_cell_length_c 6.6098
_cell_angle_alpha 90.00
_cell_angle_beta 90.00
_cell_angle_gamma 90.00
_space_group_name_H-M_alt 'P -4 m 2'
_space_group_IT_number 115
_space_group_name_Hall 'P -4 -2'
loop_
_atom_site_label
_atom_site_type_symbol
_atom_site_fract_x
_atom_site_fract_y
_atom_site_fract_z
Li1 Li 0.0000 0.0000 0.0000
Li2 Li 0.0000 0.5000 0.7251
Li3 Li 0.5000 0.5000 0.5000
Tl1 Tl 0.5000 0.5000 0.0000
Si1 Si 0.0000 0.0000 0.5000
Pt1 Pt 0.0000 0.5000 0.2973
```

Largest 6 diffraction maxima, by intensity, 10 to 90 degrees two-theta:
- 2θ = 25.1°, intensity 100, hkl 1 0 1
- 2θ = 40.8°, intensity 52, hkl 1 1 2
- 2θ = 50.5°, intensity 31, hkl 2 1 1
- 2θ = 43.1°, intensity 28, hkl 2 0 0
- 2θ = 33.1°, intensity 23, hkl 1 1 1
- 2θ = 77.5°, intensity 22, hkl 3 1 2

---

No. 6
Starting from a cell relaxed with GGA-PBE, the PXRD pattern of GdSiHO4 was simulated for λ = 1.5418 Å (Cu Kα).
Kinematic intensities with the Lorentz-polarization factor, no thermal factor.

Structural model:
```
data_GdSiHO4
_chemical_formula_sum 'Gd4 Si4 H4 O16'
_cell_length_a 7.6906
_cell_length_b 6.4746
_cell_length_c 6.8696
_cell_angle_alpha 90.00
_cell_angle_beta 111.75
_cell_angle_gamma 90.00
_space_group_name_H-M_alt 'P 1 21/c 1'
_space_group_IT_number 14
_space_group_name_Hall '-P 2ybc'
loop_
_atom_site_label
_atom_site_type_symbol
_atom_site_fract_x
_atom_site_fract_y
_atom_site_fract_z
Gd1 Gd 0.2134 0.1363 0.1165
Si1 Si 0.2437 0.6091 0.1352
H1 H 0.4540 0.6795 0.8784
O1 O 0.0928 0.7047 0.5577
O2 O 0.2095 0.0593 0.7926
O3 O 0.2781 0.0294 0.4544
O4 O 0.4529 0.7275 0.2637
```

Largest 6 diffraction maxima, by intensity, 10 to 90 degrees two-theta:
- 2θ = 26.0°, intensity 100, hkl 1 0 -2
- 2θ = 18.5°, intensity 97, hkl 1 1 0
- 2θ = 24.9°, intensity 96, hkl 2 0 0
- 2θ = 36.6°, intensity 51, hkl 2 2 -1
- 2θ = 31.0°, intensity 46, hkl 0 2 1
- 2θ = 35.4°, intensity 46, hkl 1 2 1

---

Question: Which formula does entry 2 have?
Answer: Ta2AlGaPt2